(1)
Diffraction record for HfMo4. The X-ray powder pattern is simulated, not measured: it uses a cell relaxed with GGA-PBE and Cu Ka.
Kinematic intensities with the Lorentz-polarization factor, no thermal factor.

Structural model:
Unit cell a=2.877 b=4.474 c=6.938 alpha=71.25 beta=82.28 gamma=89.96
Fractional coordinates of all 5 atoms:
Hf: 0.000 0.000 0.000
Mo: 0.210 0.798 0.403
Mo: 0.418 0.606 0.789
Mo: 0.582 0.394 0.211
Mo: 0.790 0.202 0.597

Largest 10 diffraction maxima, in order of falling intensity, 2θ from 5° to 70°:
2theta, I/Imax, index
38.95, 100.0, 1 0 2
40.10, 61.1, 0 1 3
40.32, 30.4, 0 2 1
57.33, 21.1, 1 2 3
69.78, 11.6, 2 1 2
56.91, 10.4, 1 0 -3
21.00, 6.2, 0 1 1
69.56, 5.7, 2 0 -1
28.67, 4.7, 0 1 2
13.62, 4.6, 0 0 1

(2)
Diffraction record for Al2V4W. The X-ray powder pattern is simulated, not measured: it uses a cell relaxed with GGA-PBE and Cu Ka.
Kinematic intensities with the Lorentz-polarization factor, no thermal factor.

Structural model:
Unit cell a=2.798 b=17.287 c=4.508 alpha=90.00 beta=90.00 gamma=90.00
Fractional coordinates of all 14 atoms:
Al: 0.000 0.075 0.000
Al: 0.000 0.925 0.000
Al: 0.500 0.425 0.000
Al: 0.500 0.575 0.000
V: 0.000 0.174 0.500
V: 0.000 0.301 0.000
V: 0.000 0.699 0.000
V: 0.000 0.826 0.500
V: 0.500 0.199 0.000
V: 0.500 0.326 0.500
V: 0.500 0.674 0.500
V: 0.500 0.801 0.000
W: 0.000 0.000 0.500
W: 0.500 0.500 0.500

Largest 10 diffraction maxima, in order of falling intensity, 2θ from 5° to 70°:
2theta, I/Imax, index
46.35, 100.0, 1 5 1
22.24, 68.4, 0 2 1
37.03, 55.2, 0 6 1
32.41, 54.7, 1 1 0
38.21, 52.3, 1 1 1
40.00, 48.7, 0 0 2
31.04, 35.5, 0 6 0
20.55, 35.4, 0 4 0
10.23, 28.5, 0 2 0
52.40, 28.1, 1 1 2

(3)
Diffraction record for LaTb5Hg6. The X-ray powder pattern is simulated, not measured: it uses a cell relaxed with GGA-PBE and Cu Ka.
Kinematic intensities with the Lorentz-polarization factor, no thermal factor.

Structural model:
Unit cell a=5.300 b=7.571 c=8.426 alpha=90.00 beta=108.36 gamma=90.00
Fractional coordinates of all 12 atoms:
La: 0.000 0.000 0.000
Tb: 0.000 0.500 0.000
Tb: 0.333 0.000 0.664
Tb: 0.338 0.500 0.673
Tb: 0.662 0.500 0.327
Tb: 0.667 0.000 0.336
Hg: 0.170 0.258 0.344
Hg: 0.170 0.742 0.344
Hg: 0.500 0.259 0.000
Hg: 0.500 0.741 0.000
Hg: 0.830 0.258 0.656
Hg: 0.830 0.742 0.656

Largest 10 diffraction maxima, in order of falling intensity, 2θ from 5° to 70°:
2theta, I/Imax, index
33.60, 100.0, 1 2 1
60.09, 22.3, 2 4 -1
33.83, 19.9, 2 0 -1
60.37, 15.1, 3 2 0
48.44, 14.4, 2 0 2
59.94, 7.5, 0 4 3
48.07, 7.3, 0 4 0
23.67, 1.5, 1 0 1
23.50, 0.7, 0 2 0
43.16, 0.6, 1 3 1

(4)
Diffraction record for NaNbSnPd2. The X-ray powder pattern is simulated, not measured: it uses a cell relaxed with GGA-PBE and Cu Ka.
Kinematic intensities with the Lorentz-polarization factor, no thermal factor.

Structural model:
Unit cell a=4.944 b=4.944 c=5.111 alpha=90.00 beta=90.00 gamma=90.00
Fractional coordinates of all 5 atoms:
Na: 0.000 0.000 0.000
Nb: 0.500 0.500 0.000
Sn: 0.000 0.000 0.500
Pd: 0.000 0.500 0.500
Pd: 0.500 0.000 0.500

Largest 10 diffraction maxima, in order of falling intensity, 2θ from 5° to 70°:
2theta, I/Imax, index
36.34, 100.0, 2 0 0
25.06, 92.9, 1 0 1
51.43, 73.3, 2 0 2
17.35, 70.8, 0 0 1
30.99, 68.6, 1 1 1
35.12, 55.0, 0 0 2
44.65, 39.9, 2 1 1
64.60, 36.5, 2 2 2
52.34, 34.7, 2 2 0
40.54, 33.7, 2 0 1

Question: Which formula does entry 1 have?
Answer: HfMo4

Question: What is the formula in the second record?
Answer: Al2V4W